Simulated powder X-ray diffraction pattern
Compound: Mg7Mn
Radiation: λ = 1.5418 Å (Cu Kα)
Structure: a crystal structure in the Materials Project, relaxed with PBE
Intensities are scaled so that the largest is 100.

Atomic structure:
a = 6.1632 Å, b = 6.1632 Å, c = 4.9060 Å
α = 90.00°, β = 90.00°, γ = 120.00°
Space group P-6m2 (No. 187)
Inequivalent atoms, fractional coordinates:
Mg (0.0000, 0.0000, 0.0000) (multiplicity 1)
Mg (0.0204, 0.5102, 0.0000) (multiplicity 3)
Mg (0.3350, 0.1675, 0.5000) (multiplicity 3)
Mn (0.3333, 0.6667, 0.5000) (multiplicity 1)

Main lines, sorted by position (10° ≤ 2θ ≤ 80°):
- 16.61°, intensity 14, (1 0 0)
- 24.65°, intensity 5, (1 0 1)
- 33.58°, intensity 26, (2 0 0)
- 34.37°, intensity 3, (1 1 1)
- 36.63°, intensity 26, (0 0 2)
- 38.40°, intensity 100, (2 0 1)
- 48.81°, intensity 4, (2 1 1)
- 50.54°, intensity 15, (2 0 2)
- 60.04°, intensity 16, (2 2 0)
- 67.13°, intensity 17, (2 0 3)
- 72.43°, intensity 18, (2 2 2)
- 73.56°, intensity 13, (4 0 1)